No. 1
# Fe3C9SeSO9
Calculated powder diffractogram, Cu Kα X-rays. Input: a crystal structure in the Materials Project, relaxed with PBE+U.
No peak broadening, texture or thermal motion is included.

Cell and atoms:
```
data_Fe3C9SeSO9
_chemical_formula_sum 'Fe6 C18 Se2 S2 O18'
_symmetry_space_group_name_H-M 'P 1'
_symmetry_Int_Tables_number 1
_cell_length_a 7.3722
_cell_length_b 9.6718
_cell_length_c 14.5726
_cell_angle_alpha 84.75
_cell_angle_beta 82.56
_cell_angle_gamma 68.52
loop_
_symmetry_equiv_pos_as_xyz
'x,y,z'
loop_
_atom_site_label
_atom_site_fract_x
_atom_site_fract_y
_atom_site_fract_z
Fe1 0.0759 0.2028 0.1559
Fe2 0.1570 0.2633 0.3490
Fe3 0.2293 0.9095 0.2625
Fe4 0.7707 0.0905 0.7375
Fe5 0.8430 0.7367 0.6510
Fe6 0.9241 0.7972 0.8441
C1 0.0385 0.8234 0.2360
C2 0.0668 0.5787 0.6258
C3 0.1338 0.3865 0.1151
C4 0.1872 0.0780 0.0467
C5 0.2054 0.7086 0.8939
C6 0.2180 0.1856 0.4704
C7 0.2978 0.7979 0.3891
C8 0.3079 0.3777 0.3290
C9 0.4330 0.7754 0.1825
C10 0.5670 0.2246 0.8175
C11 0.6921 0.6223 0.6710
C12 0.7022 0.2021 0.6109
C13 0.7820 0.8144 0.5296
C14 0.7946 0.2914 0.1061
C15 0.8128 0.9220 0.9533
C16 0.8662 0.6135 0.8849
C17 0.9332 0.4213 0.3742
C18 0.9615 0.1766 0.7640
Se1 0.4139 0.0764 0.2527
Se2 0.5861 0.9236 0.7473
S1 0.0274 0.8690 0.6955
S2 0.9726 0.1310 0.3045
O1 0.0727 0.2278 0.7782
O2 0.1676 0.4920 0.0899
O3 0.2110 0.4773 0.6120
O4 0.2608 0.0140 0.9805
O5 0.2642 0.1256 0.5408
O6 0.3355 0.7590 0.4631
O7 0.3664 0.6742 0.9070
O8 0.4046 0.4506 0.3130
O9 0.4431 0.3032 0.8658
O10 0.5569 0.6968 0.1342
O11 0.5954 0.5494 0.6870
O12 0.6336 0.3258 0.0930
O13 0.6645 0.2410 0.5369
O14 0.7358 0.8744 0.4592
O15 0.7392 0.9860 0.0195
O16 0.7890 0.5227 0.3880
O17 0.8324 0.5080 0.9101
O18 0.9273 0.7722 0.2218
```

The 6 most intense peaks (10° ≤ 2θ ≤ 90°), most intense first:
2theta	d_spacing	Rel. int.
13.76	6.434	100
12.26	7.217	97
15.32	5.785	73
14.92	5.936	64
27.06	3.295	50
11.84	7.472	39



No. 2
# NdEuZrVO6
Calculated powder diffractogram, Cu Kα X-rays. Input: a crystal structure in the Materials Project, relaxed with PBE+U.
No peak broadening, texture or thermal motion is included.

Cell and atoms:
```
data_NdEuZrVO6
_chemical_formula_sum 'Nd1 Eu1 Zr1 V1 O6'
_symmetry_space_group_name_H-M 'P 1'
_symmetry_Int_Tables_number 1
_cell_length_a 5.7658
_cell_length_b 5.7658
_cell_length_c 5.7658
_cell_angle_alpha 60.00
_cell_angle_beta 60.00
_cell_angle_gamma 60.00
loop_
_symmetry_equiv_pos_as_xyz
'x,y,z'
loop_
_atom_site_label
_atom_site_fract_x
_atom_site_fract_y
_atom_site_fract_z
Nd1 0.0000 0.0000 0.0000
Eu1 0.5000 0.5000 0.5000
Zr1 0.2500 0.2500 0.2500
V1 0.7500 0.7500 0.7500
O1 0.5041 0.5041 0.9959
O2 0.5041 0.9959 0.5041
O3 0.5041 0.9959 0.9959
O4 0.9959 0.5041 0.5041
O5 0.9959 0.5041 0.9959
O6 0.9959 0.9959 0.5041
```

The 6 most intense peaks (10° ≤ 2θ ≤ 90°), most intense first:
2theta	d_spacing	Rel. int.
31.02	2.883	100
55.18	1.664	39
44.44	2.039	32
64.66	1.441	19
73.45	1.289	17
38.24	2.354	15



No. 3
# Li9Mn2Co5O16
Calculated powder diffractogram, Cu Kα X-rays. Input: a crystal structure in the Materials Project, relaxed with PBE+U.
No peak broadening, texture or thermal motion is included.

Cell and atoms:
```
data_Li9Mn2Co5O16
_chemical_formula_sum 'Li9 Mn2 Co5 O16'
_symmetry_space_group_name_H-M 'P 1'
_symmetry_Int_Tables_number 1
_cell_length_a 4.9626
_cell_length_b 7.7572
_cell_length_c 7.8188
_cell_angle_alpha 98.19
_cell_angle_beta 101.23
_cell_angle_gamma 102.60
loop_
_symmetry_equiv_pos_as_xyz
'x,y,z'
loop_
_atom_site_label
_atom_site_fract_x
_atom_site_fract_y
_atom_site_fract_z
Li1 0.0000 0.0000 0.0000
Li2 0.0006 0.3591 0.1169
Li3 0.0031 0.8875 0.6426
Li4 0.0185 0.6379 0.8886
Li5 0.4809 0.2424 0.2390
Li6 0.5057 0.0091 0.5085
Li7 0.5156 0.7635 0.7614
Li8 0.5181 0.4969 0.0015
Li9 0.9922 0.1241 0.3662
Mn1 0.9999 0.5033 0.4959
Mn2 0.0027 0.7587 0.2520
Co1 0.0024 0.2519 0.7605
Co2 0.4932 0.8801 0.1245
Co3 0.5001 0.6298 0.3743
Co4 0.5038 0.1205 0.8847
Co5 0.5041 0.3813 0.6238
O1 0.2377 0.7346 0.4821
O2 0.2429 0.4002 0.3740
O3 0.2493 0.4992 0.7207
O4 0.2514 0.9827 0.2580
O5 0.2571 0.1552 0.6330
O6 0.2677 0.2522 0.9893
O7 0.2683 0.6478 0.1500
O8 0.2675 0.8765 0.8834
O9 0.7234 0.1095 0.1229
O10 0.7338 0.6119 0.6007
O11 0.7433 0.0152 0.7526
O12 0.7540 0.2762 0.5061
O13 0.7566 0.8573 0.3740
O14 0.7625 0.5211 0.2706
O15 0.7640 0.7534 0.0329
O16 0.7737 0.3776 0.8692
```

The 6 most intense peaks (10° ≤ 2θ ≤ 90°), most intense first:
2theta	d_spacing	Rel. int.
18.33	4.839	100
43.06	2.101	28
43.93	2.061	26
44.43	2.039	25
35.69	2.515	14
63.20	1.471	14



No. 4
# Li4Mn3Cr2Sb3O16
Calculated powder diffractogram, Cu Kα X-rays. Input: a crystal structure in the Materials Project, relaxed with PBE+U.
No peak broadening, texture or thermal motion is included.

Cell and atoms:
```
data_Li4Mn3Cr2Sb3O16
_chemical_formula_sum 'Li4 Mn3 Cr2 Sb3 O16'
_symmetry_space_group_name_H-M 'P 1'
_symmetry_Int_Tables_number 1
_cell_length_a 6.2480
_cell_length_b 6.2480
_cell_length_c 9.7443
_cell_angle_alpha 92.62
_cell_angle_beta 92.62
_cell_angle_gamma 58.72
loop_
_symmetry_equiv_pos_as_xyz
'x,y,z'
loop_
_atom_site_label
_atom_site_fract_x
_atom_site_fract_y
_atom_site_fract_z
Li1 0.0000 0.0000 0.0000
Li2 0.0071 0.0071 0.5203
Li3 0.3340 0.3340 0.6211
Li4 0.6721 0.6721 0.1008
Mn1 0.1626 0.1626 0.2914
Mn2 0.3331 0.8209 0.7941
Mn3 0.8209 0.3331 0.7941
Cr1 0.3178 0.3178 0.0096
Cr2 0.6474 0.6474 0.5287
Sb1 0.1631 0.6573 0.2891
Sb2 0.6573 0.1631 0.2891
Sb3 0.8221 0.8221 0.7886
O1 0.0362 0.4905 0.1609
O2 0.1430 0.6559 0.9059
O3 0.1560 0.1560 0.9085
O4 0.3135 0.8161 0.4072
O5 0.3401 0.3401 0.4029
O6 0.4769 0.4769 0.1676
O7 0.4905 0.0362 0.1609
O8 0.5180 0.5180 0.6596
O9 0.5259 0.9548 0.6529
O10 0.6559 0.1430 0.9059
O11 0.6693 0.6693 0.8992
O12 0.8161 0.3135 0.4072
O13 0.8385 0.8385 0.3978
O14 0.9548 0.5259 0.6529
O15 0.9844 0.9844 0.1867
O16 0.9863 0.9863 0.7025
```

The 6 most intense peaks (10° ≤ 2θ ≤ 90°), most intense first:
2theta	d_spacing	Rel. int.
18.24	4.863	100
34.61	2.591	32
18.75	4.732	31
44.54	2.034	27
19.15	4.634	24
35.09	2.557	23



No. 5
# V4OF11
Calculated powder diffractogram, Cu Kα X-rays. Input: a crystal structure in the Materials Project, relaxed with PBE+U.
No peak broadening, texture or thermal motion is included.

Cell and atoms:
```
data_V4OF11
_chemical_formula_sum 'V4 O1 F11'
_symmetry_space_group_name_H-M 'P 1'
_symmetry_Int_Tables_number 1
_cell_length_a 5.4812
_cell_length_b 5.2721
_cell_length_c 7.4650
_cell_angle_alpha 90.00
_cell_angle_beta 93.27
_cell_angle_gamma 90.00
loop_
_symmetry_equiv_pos_as_xyz
'x,y,z'
loop_
_atom_site_label
_atom_site_fract_x
_atom_site_fract_y
_atom_site_fract_z
V1 0.9998 0.0000 0.2376
V2 0.0002 0.0000 0.7624
V3 0.4999 0.4940 0.2506
V4 0.5001 0.4940 0.7494
O1 0.0000 0.0650 0.0000
F1 0.0000 0.9077 0.5000
F2 0.1964 0.6881 0.2027
F3 0.1971 0.2971 0.6984
F4 0.2996 0.1923 0.3022
F5 0.3016 0.7966 0.7986
F6 0.5000 0.3827 0.0000
F7 0.5000 0.6052 0.5000
F8 0.6984 0.7966 0.2014
F9 0.7004 0.1923 0.6978
F10 0.8029 0.2971 0.3016
F11 0.8036 0.6881 0.7973
```

The 6 most intense peaks (10° ≤ 2θ ≤ 90°), most intense first:
2theta	d_spacing	Rel. int.
23.43	3.797	100
23.88	3.726	49
47.92	1.898	21
39.57	2.277	21
33.01	2.714	15
53.13	1.724	13